Simulated X-ray diffraction stick pattern of CeMg5Ru2 for Cu Kα, 1.54184 Å, from a structure optimized by DFT (GGA-PBE).
Lines closer than 0.1° are merged.

Largest 6 diffraction maxima, in order of falling intensity, 2θ = 15–90°:
Position (°2θ), I (rel.)
23.9, 1000
26.2, 924
39.4, 772
41.7, 645
40.2, 573
53.5, 541

Structure:
```
data_CeMg5Ru2
_chemical_formula_sum 'Ce4 Mg20 Ru8'
_space_group_name_H-M_alt 'P 42/n c m'
_space_group_IT_number 138
_cell_length_a 9.714
_cell_length_b 9.714
_cell_length_c 7.263
_cell_angle_alpha 90.00
_cell_angle_beta 90.00
_cell_angle_gamma 90.00
loop_
_space_group_symop_operation_xyz
'x,y,z'
'-x,-y,-z'
'-y+1/2,x,z+1/2'
'y+1/2,-x,-z+1/2'
'-x+1/2,-y+1/2,z'
'x+1/2,y+1/2,-z'
'y,-x+1/2,z+1/2'
'-y,x+1/2,-z+1/2'
'x+1/2,-y,-z+1/2'
'-x+1/2,y,z+1/2'
'-y,-x,-z'
'y,x,z'
'-x,y+1/2,-z+1/2'
'x,-y+1/2,z+1/2'
'y+1/2,x+1/2,-z'
'-y+1/2,-x+1/2,z'
loop_
_atom_site_label
_atom_site_type_symbol
_atom_site_fract_x
_atom_site_fract_y
_atom_site_fract_z
Ce1 Ce 0.250 0.250 0.074
Mg1 Mg 0.000 0.000 0.000
Mg2 Mg 0.047 0.700 0.152
Ru1 Ru 0.086 0.086 0.659
```